Record 1
For Sm2AlIr, a cell relaxed with PBE gives the computed powder diffractogram in this record (Cu Kα X-rays).
Lines closer than 0.1° are merged.

Top 6 peaks for 2θ from 10° to 90°, in order of falling intensity:
| 2θ (°) | intensity |
| --- | --- |
| 31.5 | 100 |
| 31.6 | 98 |
| 15.2 | 60 |
| 31.3 | 60 |
| 38.6 | 58 |
| 39.1 | 53 |

Structural model:
```
data_Sm2AlIr
_chemical_formula_sum 'Sm4 Al2 Ir2'
_space_group_name_H-M_alt 'P 1'
_space_group_IT_number 1
_space_group_name_Hall 'P 1'
_cell_length_a 6.174
_cell_length_b 3.878
_cell_length_c 8.743
_cell_angle_alpha 90.00
_cell_angle_beta 108.80
_cell_angle_gamma 90.00
loop_
_atom_site_label
_atom_site_fract_x
_atom_site_fract_y
_atom_site_fract_z
Sm1 0.197 0.250 0.406
Sm2 0.266 0.750 0.055
Sm3 0.734 0.250 0.945
Sm4 0.803 0.750 0.594
Al1 0.346 0.750 0.717
Al2 0.654 0.250 0.283
Ir1 0.120 0.250 0.790
Ir2 0.880 0.750 0.210
```

---

Record 2
For SmAlIr, a cell relaxed with PBE gives the computed powder diffractogram in this record (Cu Kα X-rays).
Lines closer than 0.1° are merged.

Top 6 peaks for 2θ from 10° to 90°, in order of falling intensity:
| 2θ (°) | intensity |
| --- | --- |
| 32.9 | 100 |
| 42.0 | 40 |
| 23.9 | 28 |
| 54.3 | 24 |
| 63.5 | 22 |
| 70.9 | 22 |

Structural model:
```
data_SmAlIr
_chemical_formula_sum 'Sm3 Al3 Ir3'
_space_group_name_H-M_alt 'P 1'
_space_group_IT_number 1
_space_group_name_Hall 'P 1'
_cell_length_a 5.874
_cell_length_b 5.874
_cell_length_c 5.874
_cell_angle_alpha 78.79
_cell_angle_beta 78.79
_cell_angle_gamma 78.79
loop_
_atom_site_label
_atom_site_fract_x
_atom_site_fract_y
_atom_site_fract_z
Sm1 0.000 0.664 0.336
Sm2 0.336 0.000 0.664
Sm3 0.664 0.336 0.000
Al1 0.165 0.500 0.835
Al2 0.500 0.835 0.165
Al3 0.835 0.165 0.500
Ir1 0.152 0.152 0.152
Ir2 0.504 0.504 0.504
Ir3 0.844 0.844 0.844
```

---

Record 3
For Sr2Al2Ir, a cell relaxed with PBE gives the computed powder diffractogram in this record (Cu Kα X-rays).
Lines closer than 0.1° are merged.

Top 6 peaks for 2θ from 10° to 90°, in order of falling intensity:
| 2θ (°) | intensity |
| --- | --- |
| 32.5 | 100 |
| 24.7 | 95 |
| 42.0 | 60 |
| 28.6 | 58 |
| 51.3 | 42 |
| 28.1 | 37 |

Structural model:
```
data_Sr2Al2Ir
_chemical_formula_sum 'Sr6 Al6 Ir3'
_space_group_name_H-M_alt 'P 1'
_space_group_IT_number 1
_space_group_name_Hall 'P 1'
_cell_length_a 4.306
_cell_length_b 4.306
_cell_length_c 28.589
_cell_angle_alpha 90.00
_cell_angle_beta 90.00
_cell_angle_gamma 120.00
loop_
_atom_site_label
_atom_site_fract_x
_atom_site_fract_y
_atom_site_fract_z
Sr1 0.000 0.000 0.070
Sr2 0.000 0.000 0.930
Sr3 0.333 0.667 0.596
Sr4 0.333 0.667 0.737
Sr5 0.667 0.333 0.263
Sr6 0.667 0.333 0.404
Al1 0.000 0.000 0.185
Al2 0.000 0.000 0.815
Al3 0.333 0.667 0.481
Al4 0.333 0.667 0.852
Al5 0.667 0.333 0.148
Al6 0.667 0.333 0.519
Ir1 0.000 0.000 0.500
Ir2 0.333 0.667 0.167
Ir3 0.667 0.333 0.833
```

---

Record 4
For SrAl6Ir2, a cell relaxed with PBE gives the computed powder diffractogram in this record (Cu Kα X-rays).
Lines closer than 0.1° are merged.

Top 6 peaks for 2θ from 10° to 90°, in order of falling intensity:
| 2θ (°) | intensity |
| --- | --- |
| 23.3 | 100 |
| 16.8 | 45 |
| 22.7 | 41 |
| 40.1 | 37 |
| 27.8 | 36 |
| 40.2 | 34 |

Structural model:
```
data_SrAl6Ir2
_chemical_formula_sum 'Sr1 Al6 Ir2'
_space_group_name_H-M_alt 'P 1'
_space_group_IT_number 1
_space_group_name_Hall 'P 1'
_cell_length_a 6.929
_cell_length_b 6.929
_cell_length_c 4.372
_cell_angle_alpha 108.32
_cell_angle_beta 108.32
_cell_angle_gamma 68.87
loop_
_atom_site_label
_atom_site_fract_x
_atom_site_fract_y
_atom_site_fract_z
Sr1 0.000 0.000 0.000
Al1 0.067 0.395 0.731
Al2 0.335 0.665 0.500
Al3 0.395 0.067 0.731
Al4 0.605 0.933 0.269
Al5 0.665 0.335 0.500
Al6 0.933 0.605 0.269
Ir1 0.295 0.295 0.295
Ir2 0.705 0.705 0.705
```

---

Record 5
For TaAlIr2, a cell relaxed with PBE gives the computed powder diffractogram in this record (Cu Kα X-rays).
Lines closer than 0.1° are merged.

Top 6 peaks for 2θ from 10° to 90°, in order of falling intensity:
| 2θ (°) | intensity |
| --- | --- |
| 39.7 | 100 |
| 44.2 | 37 |
| 78.2 | 28 |
| 68.9 | 20 |
| 21.7 | 16 |
| 50.1 | 13 |

Structural model:
```
data_TaAlIr2
_chemical_formula_sum 'Ta1 Al1 Ir2'
_space_group_name_H-M_alt 'P 1'
_space_group_IT_number 1
_space_group_name_Hall 'P 1'
_cell_length_a 4.102
_cell_length_b 4.102
_cell_length_c 3.644
_cell_angle_alpha 90.00
_cell_angle_beta 90.00
_cell_angle_gamma 90.00
loop_
_atom_site_label
_atom_site_fract_x
_atom_site_fract_y
_atom_site_fract_z
Ta1 0.000 0.000 0.000
Al1 0.500 0.500 0.000
Ir1 0.000 0.500 0.500
Ir2 0.500 0.000 0.500
```

---

Record 6
For Tb3Al3Ir2, a cell relaxed with PBE gives the computed powder diffractogram in this record (Cu Kα X-rays).
Lines closer than 0.1° are merged.

Top 6 peaks for 2θ from 10° to 90°, in order of falling intensity:
| 2θ (°) | intensity |
| --- | --- |
| 33.7 | 100 |
| 36.6 | 87 |
| 37.7 | 79 |
| 26.1 | 78 |
| 38.1 | 72 |
| 23.4 | 58 |

Structural model:
```
data_Tb3Al3Ir2
_chemical_formula_sum 'Tb12 Al12 Ir8'
_space_group_name_H-M_alt 'P 1'
_space_group_IT_number 1
_space_group_name_Hall 'P 1'
_cell_length_a 7.775
_cell_length_b 15.180
_cell_length_c 5.771
_cell_angle_alpha 90.00
_cell_angle_beta 90.00
_cell_angle_gamma 90.00
loop_
_atom_site_label
_atom_site_fract_x
_atom_site_fract_y
_atom_site_fract_z
Tb1 0.030 0.109 0.104
Tb2 0.030 0.391 0.104
Tb3 0.163 0.250 0.627
Tb4 0.337 0.750 0.127
Tb5 0.470 0.609 0.604
Tb6 0.470 0.891 0.604
Tb7 0.530 0.109 0.396
Tb8 0.530 0.391 0.396
Tb9 0.663 0.250 0.873
Tb10 0.837 0.750 0.373
Tb11 0.970 0.609 0.896
Tb12 0.970 0.891 0.896
Al1 0.160 0.036 0.596
Al2 0.160 0.464 0.596
Al3 0.179 0.750 0.615
Al4 0.321 0.250 0.115
Al5 0.340 0.536 0.096
Al6 0.340 0.964 0.096
Al7 0.660 0.036 0.904
Al8 0.660 0.464 0.904
Al9 0.679 0.750 0.885
Al10 0.821 0.250 0.385
Al11 0.840 0.536 0.404
Al12 0.840 0.964 0.404
Ir1 0.133 0.607 0.372
Ir2 0.133 0.893 0.372
Ir3 0.367 0.107 0.872
Ir4 0.367 0.393 0.872
Ir5 0.633 0.607 0.128
Ir6 0.633 0.893 0.128
Ir7 0.867 0.107 0.628
Ir8 0.867 0.393 0.628
```

---

Record 7
For Tb2Al9Ir3, a cell relaxed with PBE gives the computed powder diffractogram in this record (Cu Kα X-rays).
Lines closer than 0.1° are merged.

Top 6 peaks for 2θ from 10° to 90°, in order of falling intensity:
| 2θ (°) | intensity |
| --- | --- |
| 30.2 | 100 |
| 41.4 | 38 |
| 23.5 | 31 |
| 37.8 | 21 |
| 57.3 | 20 |
| 25.3 | 20 |

Structural model:
```
data_Tb2Al9Ir3
_chemical_formula_sum 'Tb4 Al18 Ir6'
_space_group_name_H-M_alt 'P 1'
_space_group_IT_number 1
_space_group_name_Hall 'P 1'
_cell_length_a 7.584
_cell_length_b 7.584
_cell_length_c 10.472
_cell_angle_alpha 111.30
_cell_angle_beta 111.30
_cell_angle_gamma 59.73
loop_
_atom_site_label
_atom_site_fract_x
_atom_site_fract_y
_atom_site_fract_z
Tb1 0.086 0.252 0.250
Tb2 0.252 0.086 0.750
Tb3 0.748 0.914 0.250
Tb4 0.914 0.748 0.750
Al1 0.025 0.858 0.074
Al2 0.142 0.975 0.426
Al3 0.192 0.358 0.572
Al4 0.212 0.580 0.252
Al5 0.315 0.484 0.946
Al6 0.358 0.192 0.072
Al7 0.370 0.630 0.750
Al8 0.420 0.788 0.248
Al9 0.484 0.315 0.446
Al10 0.516 0.685 0.554
Al11 0.580 0.212 0.752
Al12 0.630 0.370 0.250
Al13 0.642 0.808 0.928
Al14 0.685 0.516 0.054
Al15 0.788 0.420 0.748
Al16 0.808 0.642 0.428
Al17 0.858 0.025 0.574
Al18 0.975 0.142 0.926
Ir1 0.000 0.500 0.000
Ir2 0.156 0.672 0.499
Ir3 0.328 0.844 0.001
Ir4 0.500 0.000 0.500
Ir5 0.672 0.156 0.999
Ir6 0.844 0.328 0.501
```

---

Record 8
For Tb2Al9Ir3, a cell relaxed with PBE gives the computed powder diffractogram in this record (Cu Kα X-rays).
Lines closer than 0.1° are merged.

Top 6 peaks for 2θ from 10° to 90°, in order of falling intensity:
| 2θ (°) | intensity |
| --- | --- |
| 30.2 | 100 |
| 41.2 | 59 |
| 30.1 | 50 |
| 37.9 | 31 |
| 23.5 | 31 |
| 57.2 | 31 |

Structural model:
```
data_Tb2Al9Ir3
_chemical_formula_sum 'Tb4 Al18 Ir6'
_space_group_name_H-M_alt 'P 1'
_space_group_IT_number 1
_space_group_name_Hall 'P 1'
_cell_length_a 7.557
_cell_length_b 7.557
_cell_length_c 9.494
_cell_angle_alpha 90.00
_cell_angle_beta 90.00
_cell_angle_gamma 60.48
loop_
_atom_site_label
_atom_site_fract_x
_atom_site_fract_y
_atom_site_fract_z
Tb1 0.004 0.671 0.750
Tb2 0.329 0.996 0.750
Tb3 0.671 0.004 0.250
Tb4 0.996 0.329 0.250
Al1 0.001 0.665 0.074
Al2 0.001 0.665 0.426
Al3 0.129 0.871 0.250
Al4 0.333 0.667 0.551
Al5 0.333 0.667 0.949
Al6 0.335 0.999 0.074
Al7 0.335 0.999 0.426
Al8 0.340 0.451 0.250
Al9 0.451 0.340 0.750
Al10 0.549 0.660 0.250
Al11 0.660 0.549 0.750
Al12 0.665 0.001 0.574
Al13 0.665 0.001 0.926
Al14 0.667 0.333 0.051
Al15 0.667 0.333 0.449
Al16 0.871 0.129 0.750
Al17 0.999 0.335 0.574
Al18 0.999 0.335 0.926
Ir1 0.000 0.000 0.000
Ir2 0.000 0.000 0.500
Ir3 0.328 0.328 0.000
Ir4 0.328 0.328 0.500
Ir5 0.672 0.672 0.000
Ir6 0.672 0.672 0.500
```

---

Record 9
For Al4TcIr, a cell relaxed with PBE gives the computed powder diffractogram in this record (Cu Kα X-rays).
Lines closer than 0.1° are merged.

Top 6 peaks for 2θ from 10° to 90°, in order of falling intensity:
| 2θ (°) | intensity |
| --- | --- |
| 26.1 | 100 |
| 43.1 | 49 |
| 51.7 | 31 |
| 43.8 | 23 |
| 50.4 | 17 |
| 80.0 | 16 |

Structural model:
```
data_Al4TcIr
_chemical_formula_sum 'Al4 Tc1 Ir1'
_space_group_name_H-M_alt 'P 1'
_space_group_IT_number 1
_space_group_name_Hall 'P 1'
_cell_length_a 4.131
_cell_length_b 4.131
_cell_length_c 6.048
_cell_angle_alpha 90.00
_cell_angle_beta 90.00
_cell_angle_gamma 90.00
loop_
_atom_site_label
_atom_site_fract_x
_atom_site_fract_y
_atom_site_fract_z
Al1 0.000 0.500 0.249
Al2 0.000 0.500 0.751
Al3 0.500 0.000 0.249
Al4 0.500 0.000 0.751
Tc1 0.000 0.000 0.500
Ir1 0.500 0.500 0.000
```

---

Record 10
For AlTc2Ir, a cell relaxed with PBE gives the computed powder diffractogram in this record (Cu Kα X-rays).
Lines closer than 0.1° are merged.

Top 6 peaks for 2θ from 10° to 90°, in order of falling intensity:
| 2θ (°) | intensity |
| --- | --- |
| 39.8 | 100 |
| 47.0 | 62 |
| 10.3 | 53 |
| 42.1 | 28 |
| 20.7 | 27 |
| 82.4 | 24 |

Structural model:
```
data_AlTc2Ir
_chemical_formula_sum 'Al3 Tc6 Ir3'
_space_group_name_H-M_alt 'P 1'
_space_group_IT_number 1
_space_group_name_Hall 'P 1'
_cell_length_a 2.791
_cell_length_b 2.791
_cell_length_c 25.784
_cell_angle_alpha 90.00
_cell_angle_beta 90.00
_cell_angle_gamma 120.00
loop_
_atom_site_label
_atom_site_fract_x
_atom_site_fract_y
_atom_site_fract_z
Al1 0.000 0.000 0.000
Al2 0.333 0.667 0.667
Al3 0.667 0.333 0.333
Tc1 0.000 0.000 0.499
Tc2 0.000 0.000 0.751
Tc3 0.333 0.667 0.166
Tc4 0.333 0.667 0.418
Tc5 0.667 0.333 0.084
Tc6 0.667 0.333 0.833
Ir1 0.000 0.000 0.253
Ir2 0.333 0.667 0.920
Ir3 0.667 0.333 0.586
```

---

Record 11
For ZrAlTcIr, a cell relaxed with PBE gives the computed powder diffractogram in this record (Cu Kα X-rays).
Lines closer than 0.1° are merged.

Top 6 peaks for 2θ from 10° to 90°, in order of falling intensity:
| 2θ (°) | intensity |
| --- | --- |
| 39.8 | 100 |
| 40.3 | 24 |
| 41.5 | 22 |
| 28.6 | 20 |
| 20.4 | 19 |
| 73.0 | 17 |

Structural model:
```
data_ZrAlTcIr
_chemical_formula_sum 'Zr1 Al1 Tc1 Ir1'
_space_group_name_H-M_alt 'P 1'
_space_group_IT_number 1
_space_group_name_Hall 'P 1'
_cell_length_a 3.284
_cell_length_b 4.356
_cell_length_c 4.473
_cell_angle_alpha 90.00
_cell_angle_beta 90.00
_cell_angle_gamma 90.00
loop_
_atom_site_label
_atom_site_fract_x
_atom_site_fract_y
_atom_site_fract_z
Zr1 0.000 0.000 0.000
Al1 0.000 0.500 0.500
Tc1 0.500 0.500 0.000
Ir1 0.500 0.000 0.500
```

---

Record 12
For ThAl10Ir2, a cell relaxed with PBE gives the computed powder diffractogram in this record (Cu Kα X-rays).
Lines closer than 0.1° are merged.

Top 6 peaks for 2θ from 10° to 90°, in order of falling intensity:
| 2θ (°) | intensity |
| --- | --- |
| 27.6 | 100 |
| 40.0 | 69 |
| 17.2 | 63 |
| 40.2 | 61 |
| 39.6 | 48 |
| 32.6 | 47 |

Structural model:
```
data_ThAl10Ir2
_chemical_formula_sum 'Th2 Al20 Ir4'
_space_group_name_H-M_alt 'P 1'
_space_group_IT_number 1
_space_group_name_Hall 'P 1'
_cell_length_a 6.880
_cell_length_b 6.880
_cell_length_c 9.222
_cell_angle_alpha 90.00
_cell_angle_beta 90.00
_cell_angle_gamma 97.27
loop_
_atom_site_label
_atom_site_fract_x
_atom_site_fract_y
_atom_site_fract_z
Th1 0.124 0.876 0.750
Th2 0.876 0.124 0.250
Al1 0.140 0.398 0.750
Al2 0.158 0.842 0.104
Al3 0.158 0.842 0.396
Al4 0.217 0.217 0.000
Al5 0.217 0.217 0.500
Al6 0.228 0.481 0.250
Al7 0.382 0.618 0.557
Al8 0.382 0.618 0.943
Al9 0.398 0.140 0.250
Al10 0.481 0.228 0.750
Al11 0.519 0.772 0.250
Al12 0.602 0.860 0.750
Al13 0.618 0.382 0.057
Al14 0.618 0.382 0.443
Al15 0.772 0.519 0.750
Al16 0.783 0.783 0.000
Al17 0.783 0.783 0.500
Al18 0.842 0.158 0.604
Al19 0.842 0.158 0.896
Al20 0.860 0.602 0.250
Ir1 0.000 0.500 0.000
Ir2 0.000 0.500 0.500
Ir3 0.500 0.000 0.000
Ir4 0.500 0.000 0.500
```